For PrHo5In2, a structure optimized by DFT (PBE) gives the computed XRD peak list in this record (a wavelength of 1.5418 Å).

Principal peaks in the range 2θ from 10° to 90°, most intense first:
2θ 32.91, I = 1000; 2θ 30.92, I = 904; 2θ 32.56, I = 611; 2θ 34.27, I = 399; 2θ 48.00, I = 328; 2θ 61.71, I = 326; 2θ 59.55, I = 264; 2θ 50.62, I = 189

Atomic structure:
abc: 8.442 8.442 8.442
angles: 155.33 103.38 81.94
Fractional coordinates of all 8 atoms:
Pr: 0.000 0.000 0.000
Ho: 0.139 0.365 0.774
Ho: 0.409 0.635 0.774
Ho: 0.500 0.000 0.500
Ho: 0.591 0.365 0.226
Ho: 0.861 0.635 0.226
In: 0.242 0.742 0.500
In: 0.758 0.258 0.500